# NaPd3O4
Calculated XRD peak list, Cu Ka. Input: a structure optimized by DFT (GGA-PBE).
Intensities are scaled so that the largest is 100.

Principal peaks in the range 5° ≤ 2θ ≤ 70°, most intense first:
| hkl | two_theta | Rel. int. |
| --- | --- | --- |
| 2 1 0 | 34.84 | 100 |
| 2 1 1 | 38.29 | 29 |
| 1 1 0 | 21.83 | 25 |
| 2 2 2 | 55.27 | 24 |
| 3 2 0 | 57.73 | 23 |
| 3 2 1 | 60.13 | 15 |
| 4 0 0 | 64.77 | 14 |
| 3 1 0 | 50.10 | 5 |

Cell and atoms:
Cell lengths 5.758, 5.758, 5.758 Å; angles 90.00, 90.00, 90.00 degrees
Atoms (fractional coordinates):
Na1 0.000 0.000 0.000
Na2 0.500 0.500 0.500
Pd1 0.000 0.250 0.500
Pd2 0.000 0.750 0.500
Pd3 0.250 0.500 0.000
Pd4 0.500 0.000 0.250
Pd5 0.500 0.000 0.750
Pd6 0.750 0.500 0.000
O1 0.250 0.250 0.250
O2 0.250 0.250 0.750
O3 0.250 0.750 0.250
O4 0.250 0.750 0.750
O5 0.750 0.250 0.250
O6 0.750 0.250 0.750
O7 0.750 0.750 0.250
O8 0.750 0.750 0.750



# NaTbPd6O8
Calculated XRD peak list, Cu Ka. Input: a structure optimized by DFT (GGA-PBE).
Intensities are scaled so that the largest is 100.

Principal peaks in the range 5° ≤ 2θ ≤ 70°, most intense first:
| hkl | two_theta | Rel. int. |
| --- | --- | --- |
| 2 0 1 | 34.37 | 100 |
| 2 1 1 | 37.76 | 60 |
| 3 1 2 | 59.25 | 32 |
| 3 2 0 | 56.90 | 24 |
| 4 0 0 | 63.80 | 17 |
| 1 0 0 | 15.18 | 17 |
| 2 2 2 | 54.47 | 14 |
| 2 0 0 | 30.64 | 11 |

Cell and atoms:
Cell lengths 5.835, 5.835, 5.835 Å; angles 90.00, 90.00, 90.00 degrees
Atoms (fractional coordinates):
Na1 0.000 0.000 0.000
Tb1 0.500 0.500 0.500
Pd1 0.000 0.249 0.500
Pd2 0.000 0.751 0.500
Pd3 0.249 0.500 0.000
Pd4 0.500 0.000 0.249
Pd5 0.500 0.000 0.751
Pd6 0.751 0.500 0.000
O1 0.259 0.259 0.259
O2 0.259 0.259 0.741
O3 0.259 0.741 0.259
O4 0.259 0.741 0.741
O5 0.741 0.259 0.259
O6 0.741 0.259 0.741
O7 0.741 0.741 0.259
O8 0.741 0.741 0.741



- Which formula does entry 2 have?
  NaTbPd6O8



Please write out number 2 again, unchanged.
# NaTbPd6O8
Calculated XRD peak list, Cu Ka. Input: a structure optimized by DFT (GGA-PBE).
Intensities are scaled so that the largest is 100.

Principal peaks in the range 5° ≤ 2θ ≤ 70°, most intense first:
| hkl | two_theta | Rel. int. |
| --- | --- | --- |
| 2 0 1 | 34.37 | 100 |
| 2 1 1 | 37.76 | 60 |
| 3 1 2 | 59.25 | 32 |
| 3 2 0 | 56.90 | 24 |
| 4 0 0 | 63.80 | 17 |
| 1 0 0 | 15.18 | 17 |
| 2 2 2 | 54.47 | 14 |
| 2 0 0 | 30.64 | 11 |

Cell and atoms:
Cell lengths 5.835, 5.835, 5.835 Å; angles 90.00, 90.00, 90.00 degrees
Atoms (fractional coordinates):
Na1 0.000 0.000 0.000
Tb1 0.500 0.500 0.500
Pd1 0.000 0.249 0.500
Pd2 0.000 0.751 0.500
Pd3 0.249 0.500 0.000
Pd4 0.500 0.000 0.249
Pd5 0.500 0.000 0.751
Pd6 0.751 0.500 0.000
O1 0.259 0.259 0.259
O2 0.259 0.259 0.741
O3 0.259 0.741 0.259
O4 0.259 0.741 0.741
O5 0.741 0.259 0.259
O6 0.741 0.259 0.741
O7 0.741 0.741 0.259
O8 0.741 0.741 0.741